The following is a computed powder diffractogram of GaSe2O5. It was derived from a PBE-relaxed structure, using Cu Kα X-rays.
Lines closer than 0.1° are merged.

Crystal structure
```
data_GaSe2O5
_cell_length_a 7.910
_cell_length_b 10.106
_cell_length_c 5.760
_cell_angle_alpha 90.00
_cell_angle_beta 90.00
_cell_angle_gamma 90.00
_symmetry_space_group_name_H-M 'P b c n'
_symmetry_Int_Tables_number 60
loop_
_symmetry_equiv_pos_as_xyz
'x,y,z'
'-x,-y,-z'
'-x+1/2,-y+1/2,z+1/2'
'x+1/2,y+1/2,-z+1/2'
'x+1/2,-y+1/2,-z'
'-x+1/2,y+1/2,z'
'-x,y,-z+1/2'
'x,-y,z+1/2'
loop_
_atom_site_label
_atom_site_fract_x
_atom_site_fract_y
_atom_site_fract_z
Ga1 0.000 0.065 0.250
Se1 0.150 0.357 0.030
O1 0.000 0.433 0.250
O2 0.126 0.070 0.546
O3 0.180 0.206 0.157
```

Principal peaks in the range 2θ from 10° to 90°, by intensity:
h k l, two_theta, I/Imax
1 2 1, 26.02, 100.0
2 1 1, 28.78, 80.1
1 1 1, 21.01, 34.0
1 1 2, 34.30, 22.1
2 5 1, 53.33, 20.4
4 0 2, 56.43, 20.0
1 3 1, 32.81, 18.8
2 2 0, 28.66, 18.4

---

The following is a computed powder diffractogram of MgZn2HgS4. It was derived from a PBE-relaxed structure, using Cu Kα X-rays.
Lines closer than 0.1° are merged.

Crystal structure
```
data_MgZn2HgS4
_cell_length_a 5.598
_cell_length_b 5.598
_cell_length_c 11.440
_cell_angle_alpha 90.00
_cell_angle_beta 90.00
_cell_angle_gamma 90.00
_symmetry_space_group_name_H-M 'I -4 2 m'
_symmetry_Int_Tables_number 121
_symmetry_space_group_name_Hall 'I -4 2'
loop_
_atom_site_label
_atom_site_fract_x
_atom_site_fract_y
_atom_site_fract_z
Mg1 0.000 0.000 0.000
Zn1 0.000 0.500 0.250
Hg1 0.000 0.000 0.500
S1 0.240 0.240 0.864
```

Principal peaks in the range 2θ from 10° to 90°, by intensity:
h k l, two_theta, I/Imax
1 1 2, 27.40, 100.0
1 0 1, 17.64, 49.5
2 0 4, 45.33, 39.6
3 1 2, 54.25, 35.0
2 1 1, 36.75, 19.6
2 2 0, 45.85, 19.4
1 0 3, 28.32, 19.3
1 1 6, 53.33, 15.2

---

The following is a computed powder diffractogram of La2YPb. It was derived from a PBE-relaxed structure, using Cu Kα X-rays.
Lines closer than 0.1° are merged.

Crystal structure
```
data_La2YPb
_cell_length_a 5.873
_cell_length_b 5.873
_cell_length_c 3.811
_cell_angle_alpha 90.00
_cell_angle_beta 90.00
_cell_angle_gamma 90.00
_symmetry_space_group_name_H-M 'P 4/m m m'
_symmetry_Int_Tables_number 123
_symmetry_space_group_name_Hall '-P 4 2'
loop_
_atom_site_label
_atom_site_fract_x
_atom_site_fract_y
_atom_site_fract_z
La1 0.000 0.500 0.000
Y1 0.000 0.000 0.500
Pb1 0.500 0.500 0.500
```

Principal peaks in the range 2θ from 10° to 90°, by intensity:
h k l, two_theta, I/Imax
1 1 1, 31.87, 100.0
2 0 0, 30.44, 56.4
3 1 1, 55.00, 42.7
2 2 0, 43.59, 21.2
2 0 2, 57.67, 18.5
2 2 2, 66.62, 12.0
5 1 1, 88.73, 11.6
1 0 0, 15.08, 10.6

---

The following is a computed powder diffractogram of Pm12NdRh4. It was derived from a PBE-relaxed structure, using Cu Kα X-rays.
Lines closer than 0.1° are merged.

Crystal structure
```
data_Pm12NdRh4
_cell_length_a 10.398
_cell_length_b 10.398
_cell_length_c 10.398
_cell_angle_alpha 90.00
_cell_angle_beta 90.00
_cell_angle_gamma 90.00
_symmetry_space_group_name_H-M 'I m -3'
_symmetry_Int_Tables_number 204
_symmetry_space_group_name_Hall '-I 2 2 3'
loop_
_atom_site_label
_atom_site_fract_x
_atom_site_fract_y
_atom_site_fract_z
Pm1 0.000 0.317 0.174
Nd1 0.000 0.000 0.000
Rh1 0.250 0.250 0.250
```

Principal peaks in the range 2θ from 10° to 90°, by intensity:
h k l, two_theta, I/Imax
3 0 1, 27.12, 100.0
3 1 2, 32.21, 68.7
5 3 0, 51.23, 37.1
4 2 2, 42.59, 33.3
5 2 3, 54.39, 26.4
6 6 0, 77.96, 25.6
4 2 0, 38.73, 23.5
6 1 3, 60.37, 17.8

---

The following is a computed powder diffractogram of PmHo4Pb5. It was derived from a PBE-relaxed structure, using Cu Kα X-rays.
Lines closer than 0.1° are merged.

Crystal structure
```
data_PmHo4Pb5
_cell_length_a 9.967
_cell_length_b 9.967
_cell_length_c 6.304
_cell_angle_alpha 90.00
_cell_angle_beta 90.00
_cell_angle_gamma 90.00
_symmetry_space_group_name_H-M 'I 4'
_symmetry_Int_Tables_number 79
loop_
_symmetry_equiv_pos_as_xyz
'x,y,z'
'-y,x,z'
'-x,-y,z'
'y,-x,z'
'x+1/2,y+1/2,z+1/2'
'-y+1/2,x+1/2,z+1/2'
'-x+1/2,-y+1/2,z+1/2'
'y+1/2,-x+1/2,z+1/2'
loop_
_atom_site_label
_atom_site_fract_x
_atom_site_fract_y
_atom_site_fract_z
Pm1 0.000 0.000 0.000
Ho1 0.103 0.702 0.498
Pb1 0.000 0.000 0.500
Pb2 0.099 0.695 0.998
```

Principal peaks in the range 2θ from 10° to 90°, by intensity:
h k l, two_theta, I/Imax
0 0 2, 28.31, 100.0
3 1 2, 40.47, 77.9
3 1 4, 66.31, 36.8
2 4 2, 50.13, 28.2
2 4 4, 73.61, 27.4
0 0 4, 58.57, 13.3
6 2 4, 87.54, 9.1
1 2 1, 24.46, 2.7

---

The following is a computed powder diffractogram of AlTc2Ru. It was derived from a PBE-relaxed structure, using Cu Kα X-rays.
Lines closer than 0.1° are merged.

Crystal structure
```
data_AlTc2Ru
_cell_length_a 3.003
_cell_length_b 4.373
_cell_length_c 8.619
_cell_angle_alpha 90.00
_cell_angle_beta 90.00
_cell_angle_gamma 90.00
_symmetry_space_group_name_H-M 'I m m 2'
_symmetry_Int_Tables_number 44
loop_
_symmetry_equiv_pos_as_xyz
'x,y,z'
'-x,-y,z'
'-x,y,z'
'x,-y,z'
'x+1/2,y+1/2,z+1/2'
'-x+1/2,-y+1/2,z+1/2'
'-x+1/2,y+1/2,z+1/2'
'x+1/2,-y+1/2,z+1/2'
loop_
_atom_site_label
_atom_site_fract_x
_atom_site_fract_y
_atom_site_fract_z
Al1 0.000 0.000 0.000
Tc1 0.000 0.000 0.501
Tc2 0.000 0.500 0.253
Ru1 0.000 0.500 0.739
```

Principal peaks in the range 2θ from 10° to 90°, by intensity:
h k l, two_theta, I/Imax
1 1 2, 42.09, 100.0
0 2 0, 41.29, 26.6
0 0 4, 41.93, 24.9
1 3 2, 75.83, 16.9
0 2 4, 60.30, 16.6
1 1 6, 76.70, 15.6
0 1 1, 22.80, 9.7
0 0 2, 20.61, 8.5